For Tl8Se3S, a DFT-relaxed cell (GGA-PBE, Alexandria) gives the calculated PXRD pattern in this record (Cu Ka).
Kinematic intensities with the Lorentz-polarization factor, no thermal factor.

Most intense lines, 2θ from 15° to 90°, low angle first:
| two_theta | d/Å | I_rel | h k l |
| --- | --- | --- | --- |
| 25.5 | 3.498 | 777 | 2 0 2 |
| 28.2 | 3.165 | 190 | 0 0 6 |
| 30.3 | 2.949 | 1000 | 0 2 4 |
| 41.6 | 2.172 | 433 | 2 2 0 |
| 45.2 | 2.008 | 315 | 2 0 8 |
| 49.4 | 1.845 | 132 | 0 4 2 |
| 51.0 | 1.791 | 227 | 2 2 6 |
| 52.3 | 1.749 | 217 | 4 0 4 |
| 68.9 | 1.362 | 222 | 2 4 4 |
| 74.1 | 1.279 | 129 | 2 2 12 |

Atomic structure:
Unit cell a=8.6894 b=8.6894 c=18.9892 alpha=90.00 beta=90.00 gamma=120.00
Space group R-3m (No. 166, hexagonal axes)
Asymmetric unit:
Tl 0.0000 0.0000 0.2423 (multiplicity 6)
Tl 0.0105 0.5052 0.7562 (multiplicity 18)
Se 0.0000 0.5000 0.0000 (multiplicity 9)
S 0.0000 0.0000 0.0000 (multiplicity 3)